No. 1
Simulated X-ray diffraction stick pattern
Compound: CaPr2Nd3Sm6
Radiation: Cu Kα, 1.54184 Å
Structure: a DFT-relaxed cell (PBE, Alexandria)

Principal peaks in the range 10° ≤ 2θ ≤ 80°, by intensity:
2theta	d (Å)	I_rel
29.79	2.999	100
34.54	2.597	51
58.98	1.566	40
49.65	1.836	36
61.88	1.499	12
72.84	1.298	6
59.04	1.565	4
16.27	5.447	1
14.79	5.991	1
16.82	5.270	1

Structure:
```
data_CaPr2Nd3Sm6
_chemical_formula_sum 'Ca1 Pr2 Nd3 Sm6'
_cell_length_a 6.3650
_cell_length_b 6.3650
_cell_length_c 12.1701
_cell_angle_alpha 95.01
_cell_angle_beta 95.01
_cell_angle_gamma 120.02
_symmetry_space_group_name_H-M 'P 1'
_symmetry_Int_Tables_number 1
_symmetry_space_group_name_Hall 'P 1'
loop_
_atom_site_label
_atom_site_type_symbol
_atom_site_fract_x
_atom_site_fract_y
_atom_site_fract_z
Ca1 Ca 0.0000 0.0000 0.0000
Pr1 Pr 0.3331 0.6669 0.0000
Pr2 Pr 0.6669 0.3331 0.0000
Nd1 Nd 0.1659 0.8341 0.5000
Nd2 Nd 0.5000 0.5000 0.5000
Nd3 Nd 0.8341 0.1659 0.5000
Sm1 Sm 0.0846 0.4228 0.2528
Sm2 Sm 0.2529 0.2529 0.7467
Sm3 Sm 0.4228 0.0846 0.2528
Sm4 Sm 0.5772 0.9154 0.7472
Sm5 Sm 0.7471 0.7471 0.2533
Sm6 Sm 0.9154 0.5772 0.7472
```

***

No. 2
Simulated X-ray diffraction stick pattern
Compound: Nd5Te2Cl3O10
Radiation: Cu Kα, 1.54184 Å
Structure: a DFT-relaxed cell (PBE, Alexandria)

Principal peaks in the range 10° ≤ 2θ ≤ 80°, by intensity:
2theta	d (Å)	I_rel
27.46	3.248	100
31.24	2.863	79
31.34	2.854	35
24.33	3.659	33
53.48	1.713	31
46.24	1.963	30
33.12	2.705	25
43.49	2.081	24
49.67	1.836	16
55.71	1.650	15

Structure:
```
data_Nd5Te2Cl3O10
_chemical_formula_sum 'Nd5 Te2 Cl3 O10'
_cell_length_a 6.9999
_cell_length_b 6.9999
_cell_length_c 10.3062
_cell_angle_alpha 90.47
_cell_angle_beta 90.47
_cell_angle_gamma 48.13
_symmetry_space_group_name_H-M 'P 1'
_symmetry_Int_Tables_number 1
_symmetry_space_group_name_Hall 'P 1'
loop_
_atom_site_label
_atom_site_type_symbol
_atom_site_fract_x
_atom_site_fract_y
_atom_site_fract_z
Nd1 Nd 0.0000 0.0000 0.0000
Nd2 Nd 0.2894 0.2894 0.8960
Nd3 Nd 0.4012 0.4012 0.2310
Nd4 Nd 0.5988 0.5988 0.7690
Nd5 Nd 0.7106 0.7106 0.1040
Te1 Te 0.0882 0.0882 0.3274
Te2 Te 0.9118 0.9118 0.6726
Cl1 Cl 0.1559 0.1559 0.6537
Cl2 Cl 0.5000 0.5000 0.5000
Cl3 Cl 0.8441 0.8441 0.3463
O1 O 0.1089 0.6009 0.0581
O2 O 0.1869 0.7021 0.7969
O3 O 0.2298 0.2298 0.2879
O4 O 0.2979 0.8131 0.2031
O5 O 0.3991 0.8911 0.9419
O6 O 0.6009 0.1089 0.0581
O7 O 0.7021 0.1869 0.7969
O8 O 0.7702 0.7702 0.7121
O9 O 0.8131 0.2979 0.2031
O10 O 0.8911 0.3991 0.9419
```

***

No. 3
Simulated X-ray diffraction stick pattern
Compound: Y3Ag3IrO8
Radiation: Cu Kα, 1.54184 Å
Structure: a DFT-relaxed cell (PBE, Alexandria)

Principal peaks in the range 10° ≤ 2θ ≤ 80°, by intensity:
2theta	d (Å)	I_rel
37.02	2.428	100
32.22	2.778	80
15.95	5.556	48
30.98	2.887	34
54.16	1.693	32
52.54	1.742	31
30.60	2.921	18
63.68	1.461	17
67.43	1.389	16
15.35	5.773	12

Structure:
```
data_Y3Ag3IrO8
_chemical_formula_sum 'Y3 Ag3 Ir1 O8'
_cell_length_a 6.7729
_cell_length_b 6.7729
_cell_length_c 6.9803
_cell_angle_alpha 119.13
_cell_angle_beta 119.13
_cell_angle_gamma 60.02
_symmetry_space_group_name_H-M 'P 1'
_symmetry_Int_Tables_number 1
_symmetry_space_group_name_Hall 'P 1'
loop_
_atom_site_label
_atom_site_type_symbol
_atom_site_fract_x
_atom_site_fract_y
_atom_site_fract_z
Y1 Y 0.0000 0.0000 0.0000
Y2 Y 0.0000 0.5000 0.0000
Y3 Y 0.5000 0.0000 0.0000
Ag1 Ag 0.0000 0.5000 0.5000
Ag2 Ag 0.5000 0.0000 0.5000
Ag3 Ag 0.5000 0.5000 0.5000
Ir1 Ir 0.5000 0.5000 0.0000
O1 O 0.2280 0.2280 0.1832
O2 O 0.2632 0.7137 0.1899
O3 O 0.2863 0.2863 0.8102
O4 O 0.2863 0.7368 0.8101
O5 O 0.7137 0.2632 0.1899
O6 O 0.7137 0.7137 0.1898
O7 O 0.7368 0.2863 0.8101
O8 O 0.7720 0.7720 0.8168
```

***

No. 4
Simulated X-ray diffraction stick pattern
Compound: Pm2Al3Ir
Radiation: Cu Kα, 1.54184 Å
Structure: a DFT-relaxed cell (PBE, Alexandria)

Principal peaks in the range 10° ≤ 2θ ≤ 80°, by intensity:
2theta	d (Å)	I_rel
38.07	2.364	100
32.12	2.787	89
19.90	4.462	47
38.45	2.341	46
61.23	1.514	25
22.71	3.915	25
61.50	1.508	23
57.25	1.609	17
39.70	2.271	17
58.36	1.581	16

Structure:
```
data_Pm2Al3Ir
_chemical_formula_sum 'Pm2 Al3 Ir1'
_cell_length_a 5.5018
_cell_length_b 5.5018
_cell_length_c 5.5018
_cell_angle_alpha 60.87
_cell_angle_beta 60.87
_cell_angle_gamma 60.87
_symmetry_space_group_name_H-M 'P 1'
_symmetry_Int_Tables_number 1
_symmetry_space_group_name_Hall 'P 1'
loop_
_atom_site_label
_atom_site_type_symbol
_atom_site_fract_x
_atom_site_fract_y
_atom_site_fract_z
Pm1 Pm 0.1263 0.1263 0.1263
Pm2 Pm 0.8737 0.8737 0.8737
Al1 Al 0.0000 0.5000 0.5000
Al2 Al 0.5000 0.0000 0.5000
Al3 Al 0.5000 0.5000 0.0000
Ir1 Ir 0.5000 0.5000 0.5000
```

***

No. 5
Simulated X-ray diffraction stick pattern
Compound: Na5LiN2
Radiation: Cu Kα, 1.54184 Å
Structure: a DFT-relaxed cell (PBE, Alexandria)

Principal peaks in the range 10° ≤ 2θ ≤ 80°, by intensity:
2theta	d (Å)	I_rel
36.20	2.481	100
32.26	2.775	65
34.10	2.629	58
32.02	2.795	45
46.48	1.954	42
24.02	3.704	39
34.59	2.593	34
49.19	1.852	31
66.91	1.398	22
51.94	1.760	21

Structure:
```
data_Na5LiN2
_chemical_formula_sum 'Na10 Li2 N4'
_cell_length_a 5.6030
_cell_length_b 8.3065
_cell_length_c 6.6539
_cell_angle_alpha 90.00
_cell_angle_beta 93.92
_cell_angle_gamma 90.00
_symmetry_space_group_name_H-M 'P 1'
_symmetry_Int_Tables_number 1
_symmetry_space_group_name_Hall 'P 1'
loop_
_atom_site_label
_atom_site_type_symbol
_atom_site_fract_x
_atom_site_fract_y
_atom_site_fract_z
Na1 Na 0.0000 0.0000 0.0000
Na2 Na 0.0000 0.0270 0.5000
Na3 Na 0.0000 0.6728 0.5000
Na4 Na 0.0024 0.3447 0.7659
Na5 Na 0.4976 0.8447 0.2341
Na6 Na 0.5000 0.1728 0.5000
Na7 Na 0.5000 0.5000 0.0000
Na8 Na 0.5000 0.5270 0.5000
Na9 Na 0.5024 0.8447 0.7659
Na10 Na 0.9976 0.3447 0.2341
Li1 Li 0.0000 0.6454 0.0000
Li2 Li 0.5000 0.1454 0.0000
N1 N 0.2291 0.6075 0.2289
N2 N 0.2709 0.1075 0.7711
N3 N 0.7291 0.1075 0.2289
N4 N 0.7709 0.6075 0.7711
```

***

No. 6
Simulated X-ray diffraction stick pattern
Compound: LaBeAu6
Radiation: Cu Kα, 1.54184 Å
Structure: a DFT-relaxed cell (PBE, Alexandria)

Principal peaks in the range 10° ≤ 2θ ≤ 80°, by intensity:
2theta	d (Å)	I_rel
32.36	2.766	100
42.10	2.146	64
44.36	2.042	52
35.59	2.523	25
76.79	1.241	20
59.36	1.557	19
74.06	1.280	19
37.38	2.406	18
64.53	1.444	17
43.67	2.073	16

Structure:
```
data_LaBeAu6
_chemical_formula_sum 'La1 Be1 Au6'
_cell_length_a 4.0846
_cell_length_b 4.0846
_cell_length_c 9.6229
_cell_angle_alpha 90.00
_cell_angle_beta 90.00
_cell_angle_gamma 90.00
_symmetry_space_group_name_H-M 'P 1'
_symmetry_Int_Tables_number 1
_symmetry_space_group_name_Hall 'P 1'
loop_
_atom_site_label
_atom_site_type_symbol
_atom_site_fract_x
_atom_site_fract_y
_atom_site_fract_z
La1 La 0.0000 0.0000 0.0000
Be1 Be 0.0000 0.0000 0.5000
Au1 Au 0.0000 0.5000 0.3514
Au2 Au 0.0000 0.5000 0.6486
Au3 Au 0.5000 0.0000 0.3514
Au4 Au 0.5000 0.0000 0.6486
Au5 Au 0.5000 0.5000 0.1418
Au6 Au 0.5000 0.5000 0.8582
```